1.
Structure and computed PXRD pattern of Ac2CoSiGe (the PBE geometry in Alexandria; λ = 1.5418 Å (Cu Kα)).
Peak positions follow from Bragg's law for the DFT cell and can differ from measured ones.

Crystal structure
```
data_Ac2CoSiGe
_chemical_formula_sum 'Ac4 Co2 Si2 Ge2'
_cell_length_a 4.3369
_cell_length_b 4.3369
_cell_length_c 14.6802
_cell_angle_alpha 90.00
_cell_angle_beta 90.00
_cell_angle_gamma 90.00
_symmetry_space_group_name_H-M 'P 4/n m m'
_symmetry_Int_Tables_number 129
loop_
_symmetry_equiv_pos_as_xyz
'x,y,z'
'-x,-y,-z'
'-y+1/2,x,z'
'y+1/2,-x,-z'
'-x+1/2,-y+1/2,z'
'x+1/2,y+1/2,-z'
'y,-x+1/2,z'
'-y,x+1/2,-z'
'x+1/2,-y,-z'
'-x+1/2,y,z'
'-y,-x,-z'
'y,x,z'
'-x,y+1/2,-z'
'x,-y+1/2,z'
'y+1/2,x+1/2,-z'
'-y+1/2,-x+1/2,z'
loop_
_atom_site_label
_atom_site_type_symbol
_atom_site_fract_x
_atom_site_fract_y
_atom_site_fract_z
Ac1 Ac 0.2500 0.2500 0.1056
Ac2 Ac 0.2500 0.2500 0.6597
Co1 Co 0.2500 0.7500 0.5000
Si1 Si 0.2500 0.2500 0.4289
Ge1 Ge 0.2500 0.2500 0.8760
```

Main lines, most intense first (2θ = 15–90°):
| two_theta | intensity | index |
| --- | --- | --- |
| 23.83 | 100.0 | 1 0 2 |
| 29.12 | 72.7 | 1 1 0 |
| 38.25 | 70.3 | 1 1 4 |
| 41.65 | 44.3 | 2 0 0 |
| 48.55 | 31.9 | 2 1 2 |
| 24.25 | 30.9 | 0 0 4 |
| 73.75 | 20.7 | 3 1 4 |
| 30.45 | 20.5 | 0 0 5 |

***

2.
Structure and computed PXRD pattern of Tb2Be12Ni5 (the PBE geometry in Alexandria; λ = 1.5418 Å (Cu Kα)).
Peak positions follow from Bragg's law for the DFT cell and can differ from measured ones.

Crystal structure
```
data_Tb2Be12Ni5
_chemical_formula_sum 'Tb6 Be36 Ni15'
_cell_length_a 7.9823
_cell_length_b 7.9823
_cell_length_c 11.4452
_cell_angle_alpha 90.00
_cell_angle_beta 90.00
_cell_angle_gamma 120.00
_symmetry_space_group_name_H-M 'R -3 m'
_symmetry_Int_Tables_number 166
_symmetry_space_group_name_Hall '-R 3 2"'
loop_
_atom_site_label
_atom_site_type_symbol
_atom_site_fract_x
_atom_site_fract_y
_atom_site_fract_z
Tb1 Tb 0.0000 0.0000 0.1579
Be1 Be 0.0000 0.2736 0.5000
Be2 Be 0.0124 0.5062 0.3397
Ni1 Ni 0.0000 0.0000 0.3985
Ni2 Ni 0.0000 0.5000 0.0000
```

Main lines, most intense first (2θ = 15–90°):
| two_theta | intensity | index |
| --- | --- | --- |
| 22.27 | 100.0 | 1 1 0 |
| 32.47 | 68.8 | 1 1 3 |
| 45.45 | 54.4 | 2 2 0 |
| 33.91 | 39.4 | 1 0 4 |
| 26.95 | 33.5 | 0 2 1 |
| 47.10 | 33.0 | 2 1 4 |
| 46.01 | 32.3 | 3 0 3 |
| 39.09 | 29.3 | 3 0 0 |

***

3.
Structure and computed PXRD pattern of Ac6ZnHg2 (the PBE geometry in Alexandria; λ = 1.5418 Å (Cu Kα)).
Peak positions follow from Bragg's law for the DFT cell and can differ from measured ones.

Crystal structure
```
data_Ac6ZnHg2
_chemical_formula_sum 'Ac12 Zn2 Hg4'
_cell_length_a 17.4399
_cell_length_b 7.8404
_cell_length_c 5.5244
_cell_angle_alpha 90.00
_cell_angle_beta 108.39
_cell_angle_gamma 90.00
_symmetry_space_group_name_H-M 'C 1 2/m 1'
_symmetry_Int_Tables_number 12
loop_
_symmetry_equiv_pos_as_xyz
'x,y,z'
'-x,-y,-z'
'-x,y,-z'
'x,-y,z'
'x+1/2,y+1/2,z'
'-x+1/2,-y+1/2,-z'
'-x+1/2,y+1/2,-z'
'x+1/2,-y+1/2,z'
loop_
_atom_site_label
_atom_site_type_symbol
_atom_site_fract_x
_atom_site_fract_y
_atom_site_fract_z
Ac1 Ac 0.0000 0.2411 0.0000
Ac2 Ac 0.1640 0.2463 0.6637
Zn1 Zn 0.0000 0.0000 0.5000
Hg1 Hg 0.1664 0.5000 0.1659
```

Main lines, most intense first (2θ = 15–90°):
| two_theta | intensity | index |
| --- | --- | --- |
| 32.38 | 100.0 | 2 0 -2 |
| 57.71 | 23.6 | 0 2 3 |
| 57.84 | 23.5 | 6 2 -3 |
| 22.72 | 21.5 | 2 0 1 |
| 32.46 | 19.8 | 6 0 0 |
| 19.67 | 18.8 | 3 1 0 |
| 46.53 | 14.9 | 4 0 2 |
| 22.80 | 10.7 | 4 0 -1 |

***

4.
Structure and computed PXRD pattern of TbPmY3Ho (the PBE geometry in Alexandria; λ = 1.5418 Å (Cu Kα)).
Peak positions follow from Bragg's law for the DFT cell and can differ from measured ones.

Crystal structure
```
data_TbPmY3Ho
_chemical_formula_sum 'Tb4 Pm4 Y12 Ho4'
_cell_length_a 5.0525
_cell_length_b 15.1769
_cell_length_c 10.1125
_cell_angle_alpha 90.00
_cell_angle_beta 90.00
_cell_angle_gamma 90.00
_symmetry_space_group_name_H-M 'C m c m'
_symmetry_Int_Tables_number 63
_symmetry_space_group_name_Hall '-C 2c 2'
loop_
_atom_site_label
_atom_site_type_symbol
_atom_site_fract_x
_atom_site_fract_y
_atom_site_fract_z
Tb1 Tb 0.0000 0.0000 0.0000
Pm1 Pm 0.0000 0.4993 0.2500
Y1 Y 0.0000 0.1673 0.2500
Y2 Y 0.0000 0.3335 0.0003
Ho1 Ho 0.0000 0.1667 0.7500
```

Main lines, most intense first (2θ = 15–90°):
| two_theta | intensity | index |
| --- | --- | --- |
| 30.63 | 100.0 | 1 3 2 |
| 35.51 | 50.4 | 2 0 0 |
| 60.76 | 41.9 | 3 3 2 |
| 51.10 | 35.5 | 2 6 0 |
| 83.31 | 17.1 | 3 9 2 |
| 85.97 | 13.3 | 4 6 0 |
| 63.77 | 12.1 | 2 6 4 |
| 75.14 | 3.7 | 0 12 0 |

***

5.
Structure and computed PXRD pattern of DyY5Ho3 (the PBE geometry in Alexandria; λ = 1.5418 Å (Cu Kα)).
Peak positions follow from Bragg's law for the DFT cell and can differ from measured ones.

Crystal structure
```
data_DyY5Ho3
_chemical_formula_sum 'Dy2 Y10 Ho6'
_cell_length_a 9.7097
_cell_length_b 9.7097
_cell_length_c 7.0186
_cell_angle_alpha 90.00
_cell_angle_beta 90.00
_cell_angle_gamma 120.00
_symmetry_space_group_name_H-M 'P 63/m c m'
_symmetry_Int_Tables_number 193
_symmetry_space_group_name_Hall '-P 6c 2'
loop_
_atom_site_label
_atom_site_type_symbol
_atom_site_fract_x
_atom_site_fract_y
_atom_site_fract_z
Dy1 Dy 0.0000 0.0000 0.0000
Y1 Y 0.0000 0.3078 0.2500
Y2 Y 0.3333 0.6667 0.0000
Ho1 Ho 0.0000 0.3578 0.7500
```

Main lines, most intense first (2θ = 15–90°):
| two_theta | intensity | index |
| --- | --- | --- |
| 31.93 | 100.0 | 3 0 0 |
| 31.45 | 96.4 | 1 1 2 |
| 45.43 | 31.9 | 2 2 2 |
| 56.60 | 30.8 | 4 1 2 |
| 62.44 | 29.9 | 3 0 4 |
| 56.90 | 16.0 | 3 3 0 |
| 22.27 | 14.2 | 1 1 1 |
| 41.22 | 12.0 | 3 0 2 |

***

6.
Structure and computed PXRD pattern of Ba2TlPd5Pt2 (the PBE geometry in Alexandria; λ = 1.5418 Å (Cu Kα)).
Peak positions follow from Bragg's law for the DFT cell and can differ from measured ones.

Crystal structure
```
data_Ba2TlPd5Pt2
_chemical_formula_sum 'Ba4 Tl2 Pd10 Pt4'
_cell_length_a 10.3042
_cell_length_b 10.3042
_cell_length_c 4.0284
_cell_angle_alpha 90.00
_cell_angle_beta 90.00
_cell_angle_gamma 90.00
_symmetry_space_group_name_H-M 'P 4/m b m'
_symmetry_Int_Tables_number 127
_symmetry_space_group_name_Hall '-P 4 2ab'
loop_
_atom_site_label
_atom_site_type_symbol
_atom_site_fract_x
_atom_site_fract_y
_atom_site_fract_z
Ba1 Ba 0.1737 0.3263 0.0000
Tl1 Tl 0.0000 0.0000 0.0000
Pd1 Pd 0.0000 0.5000 0.5000
Pd2 Pd 0.0619 0.8007 0.5000
Pt1 Pt 0.1238 0.6238 0.0000
```

Main lines, most intense first (2θ = 15–90°):
| two_theta | intensity | index |
| --- | --- | --- |
| 35.43 | 100.0 | 3 1 1 |
| 38.63 | 36.3 | 3 2 1 |
| 35.93 | 22.2 | 4 1 0 |
| 45.01 | 21.6 | 0 0 2 |
| 33.15 | 19.1 | 2 2 1 |
| 19.26 | 11.9 | 2 1 0 |
| 27.37 | 11.6 | 3 1 0 |
| 41.61 | 11.3 | 4 0 1 |

***

7.
Structure and computed PXRD pattern of Ba6As3S (the PBE geometry in Alexandria; λ = 1.5418 Å (Cu Kα)).
Peak positions follow from Bragg's law for the DFT cell and can differ from measured ones.

Crystal structure
```
data_Ba6As3S
_chemical_formula_sum 'Ba12 As6 S2'
_cell_length_a 7.8709
_cell_length_b 8.7443
_cell_length_c 14.1108
_cell_angle_alpha 90.00
_cell_angle_beta 122.96
_cell_angle_gamma 90.00
_symmetry_space_group_name_H-M 'P 1 21/c 1'
_symmetry_Int_Tables_number 14
loop_
_symmetry_equiv_pos_as_xyz
'x,y,z'
'-x,-y,-z'
'-x,y+1/2,-z+1/2'
'x,-y+1/2,z+1/2'
loop_
_atom_site_label
_atom_site_type_symbol
_atom_site_fract_x
_atom_site_fract_y
_atom_site_fract_z
Ba1 Ba 0.0978 0.0617 0.2517
Ba2 Ba 0.2648 0.6883 0.0800
Ba3 Ba 0.4020 0.1887 0.0796
As1 As 0.0000 0.0000 0.0000
As2 As 0.2996 0.0977 0.7509
S1 S 0.5000 0.0000 0.5000
```

Main lines, most intense first (2θ = 15–90°):
| two_theta | intensity | index |
| --- | --- | --- |
| 25.39 | 100.0 | 1 0 -4 |
| 42.95 | 53.9 | 1 4 -1 |
| 25.08 | 52.5 | 1 0 2 |
| 24.81 | 52.0 | 2 1 -2 |
| 25.84 | 49.1 | 2 1 -1 |
| 24.42 | 38.9 | 1 2 0 |
| 30.54 | 38.8 | 2 2 -2 |
| 27.89 | 32.7 | 1 2 -3 |

***

8.
Structure and computed PXRD pattern of Be3Pd7 (the PBE geometry in Alexandria; λ = 1.5418 Å (Cu Kα)).
Peak positions follow from Bragg's law for the DFT cell and can differ from measured ones.

Crystal structure
```
data_Be3Pd7
_chemical_formula_sum 'Be6 Pd14'
_cell_length_a 7.8412
_cell_length_b 7.8412
_cell_length_c 4.9185
_cell_angle_alpha 90.00
_cell_angle_beta 90.00
_cell_angle_gamma 120.00
_symmetry_space_group_name_H-M 'P 63 m c'
_symmetry_Int_Tables_number 186
_symmetry_space_group_name_Hall 'P 6c -2c'
loop_
_atom_site_label
_atom_site_type_symbol
_atom_site_fract_x
_atom_site_fract_y
_atom_site_fract_z
Be1 Be 0.1904 0.3809 0.0000
Pd1 Pd 0.0860 0.5430 0.7163
Pd2 Pd 0.1239 0.2478 0.4291
Pd3 Pd 0.3333 0.6667 0.2389
```

Main lines, most intense first (2θ = 15–90°):
| two_theta | intensity | index |
| --- | --- | --- |
| 39.61 | 100.0 | 2 1 1 |
| 38.95 | 43.8 | 1 0 2 |
| 44.04 | 35.9 | 3 0 1 |
| 34.96 | 33.1 | 2 1 0 |
| 32.03 | 25.5 | 2 0 1 |
| 71.72 | 25.4 | 3 2 2 |
| 45.54 | 24.5 | 2 0 2 |
| 70.99 | 17.0 | 3 0 3 |